# 1
Diffraction record for MgV2S4N6Cl4. The X-ray diffraction stick pattern is calculated, not measured: it uses a cell relaxed with GGA-PBE and λ = 1.5418 Å (Cu Kα).
Neutral-atom scattering factors, no anomalous dispersion.

Structural model:
a b c (Å): 6.0257 7.7783 7.9594
angles (deg): 90.19 101.49 106.96
Space group P1 (No. 1)
Inequivalent atoms, fractional coordinates:
Mg (0.0000, 0.0000, 0.0000) [1 per cell]
V (0.1963, 0.3637, 0.4823) [1 per cell]
V (0.7047, 0.3508, 0.2380) [1 per cell]
S (0.1486, 0.6546, 0.1715) [1 per cell]
S (0.2338, 0.0694, 0.7379) [1 per cell]
S (0.6814, 0.6096, 0.9427) [1 per cell]
S (0.7540, 0.0740, 0.5747) [1 per cell]
N (0.0145, 0.4824, 0.2586) [1 per cell]
N (0.3206, 0.2445, 0.6429) [1 per cell]
N (0.5903, 0.4497, 0.0534) [1 per cell]
N (0.8763, 0.2307, 0.4671) [1 per cell]
N (0.9395, 0.0107, 0.7211) [1 per cell]
N (0.9650, 0.7211, 0.0242) [1 per cell]
Cl (0.2007, 0.6013, 0.6541) [1 per cell]
Cl (0.2752, 0.1431, 0.2627) [1 per cell]
Cl (0.5919, 0.5456, 0.4218) [1 per cell]
Cl (0.6800, 0.0767, 0.0692) [1 per cell]

Principal peaks in the range 2θ from 15° to 90°, in order of rising 2θ:
hkl 0 1 -1, 15.9°, I 39.1
hkl 0 1 1, 17.0°, I 96.3
hkl -1 1 1, 18.7°, I 87.3
hkl 1 0 1, 21.3°, I 30.5
hkl 0 2 0, 24.0°, I 46.4
hkl 1 0 -2, 24.9°, I 26.5
hkl 1 1 -2, 29.1°, I 30.8
hkl 1 -1 2, 30.4°, I 69.0
hkl 2 0 0, 31.8°, I 48.1
hkl -1 2 2, 32.5°, I 100.0
hkl 1 -2 2, 34.9°, I 32.9
hkl 2 1 0, 37.4°, I 37.4

# 2
Diffraction record for Y10Cd3Ni. The X-ray diffraction stick pattern is calculated, not measured: it uses a cell relaxed with GGA-PBE and λ = 1.5418 Å (Cu Kα).
Neutral-atom scattering factors, no anomalous dispersion.

Structural model:
a b c (Å): 9.6434 9.6434 9.7674
angles (deg): 90.00 90.00 120.00
Space group P6_3/mmc (No. 194)
Inequivalent atoms, fractional coordinates:
Y (0.0000, 0.0000, 0.0000) [2 per cell]
Y (0.0871, 0.5435, 0.2500) [6 per cell]
Y (0.2101, 0.4202, 0.5635) [12 per cell]
Cd (0.1162, 0.2324, 0.2500) [6 per cell]
Ni (0.3333, 0.6667, 0.7500) [2 per cell]

Principal peaks in the range 2θ from 15° to 90°, in order of rising 2θ:
hkl 1 0 3, 29.4°, I 26.8
hkl 3 0 0, 32.2°, I 16.5
hkl 3 0 1, 33.5°, I 86.3
hkl 2 1 2, 33.8°, I 100.0
hkl 2 0 3, 34.9°, I 48.5
hkl 0 0 4, 36.8°, I 13.3
hkl 2 2 0, 37.3°, I 12.4
hkl 3 2 3, 55.7°, I 19.8
hkl 3 3 0, 57.3°, I 25.7
hkl 3 0 5, 57.6°, I 31.1
hkl 5 0 2, 58.4°, I 18.5
hkl 6 2 2, 86.3°, I 11.4

# 3
Diffraction record for KCaCl3. The X-ray diffraction stick pattern is calculated, not measured: it uses a cell relaxed with GGA-PBE and λ = 1.5418 Å (Cu Kα).
Neutral-atom scattering factors, no anomalous dispersion.

Structural model:
a b c (Å): 7.6457 7.6486 5.4065
angles (deg): 90.00 90.01 90.00
Space group Cm (No. 8)
Inequivalent atoms, fractional coordinates:
K (0.0000, 0.0000, 0.0000) [2 per cell]
Ca (0.9998, 0.5000, 0.4852) [2 per cell]
Cl (0.0092, 0.5000, 0.9852) [2 per cell]
Cl (0.2494, 0.2481, 0.4828) [4 per cell]

Principal peaks in the range 2θ from 15° to 90°, in order of rising 2θ:
hkl 0 0 1, 16.4°, I 26.1
hkl 1 1 -1, 23.3°, I 31.3
hkl 2 0 1, 28.6°, I 64.3
hkl 2 2 0, 33.1°, I 100.0
hkl 1 1 -2, 37.2°, I 11.5
hkl 2 0 2, 40.9°, I 13.5
hkl 0 4 0, 47.6°, I 63.0
hkl 2 4 1, 56.4°, I 20.8
hkl 0 4 2, 59.2°, I 20.1
hkl 4 4 0, 69.5°, I 8.9
hkl 2 6 0, 79.2°, I 24.3
hkl 2 6 2, 88.6°, I 18.7

# 4
Diffraction record for PuIn. The X-ray diffraction stick pattern is calculated, not measured: it uses a cell relaxed with GGA-PBE and λ = 1.5418 Å (Cu Kα).
Neutral-atom scattering factors, no anomalous dispersion.

Structural model:
a b c (Å): 3.2161 3.2161 4.9563
angles (deg): 90.00 90.00 90.00
Space group P4/mmm (No. 123)
Inequivalent atoms, fractional coordinates:
Pu (0.0000, 0.0000, 0.0000) [1 per cell]
In (0.5000, 0.5000, 0.5000) [1 per cell]

Principal peaks in the range 2θ from 15° to 90°, in order of rising 2θ:
hkl 0 0 1, 17.9°, I 11.7
hkl 1 0 0, 27.7°, I 8.5
hkl 1 0 1, 33.2°, I 100.0
hkl 0 0 2, 36.2°, I 19.8
hkl 1 1 0, 39.6°, I 31.0
hkl 1 1 1, 43.8°, I 5.4
hkl 1 0 2, 46.2°, I 4.7
hkl 1 1 2, 54.8°, I 24.4
hkl 2 0 0, 57.3°, I 10.7
hkl 1 0 3, 63.3°, I 15.8
hkl 2 1 1, 67.9°, I 25.8
hkl 2 0 2, 69.7°, I 11.9

# 5
Diffraction record for DyScRu2. The X-ray diffraction stick pattern is calculated, not measured: it uses a cell relaxed with GGA-PBE and λ = 1.5418 Å (Cu Kα).
Neutral-atom scattering factors, no anomalous dispersion.

Structural model:
a b c (Å): 6.6093 6.6093 6.6093
angles (deg): 90.00 90.00 90.00
Space group Fm-3m (No. 225)
Inequivalent atoms, fractional coordinates:
Dy (0.0000, 0.0000, 0.0000) [4 per cell]
Sc (0.0000, 0.0000, 0.5000) [4 per cell]
Ru (0.2500, 0.2500, 0.2500) [8 per cell]

Principal peaks in the range 2θ from 15° to 90°, in order of rising 2θ:
hkl 1 1 1, 23.3°, I 18.8
hkl 2 2 0, 38.5°, I 100.0
hkl 3 1 1, 45.5°, I 10.2
hkl 4 0 0, 55.6°, I 16.9
hkl 3 3 1, 61.1°, I 4.4
hkl 4 2 2, 69.7°, I 33.7
hkl 5 1 1, 74.6°, I 3.3
hkl 4 4 0, 82.6°, I 10.6
hkl 5 3 1, 87.3°, I 3.5